For Ca2TcNiO6, a crystal structure in Alexandria, relaxed with GGA+U gives the theoretical PXRD pattern in this record (Cu Kα, 1.54184 Å).

Principal peaks in the range 5 to 70 degrees two-theta, by angle:
d = 4.269 Å, 20.8 deg, rel. 256; d = 3.859 Å, 23.0 deg, rel. 322; d = 2.863 Å, 31.2 deg, rel. 1000; d = 2.729 Å, 32.8 deg, rel. 453; d = 2.134 Å, 42.3 deg, rel. 150; d = 1.930 Å, 47.1 deg, rel. 384; d = 1.868 Å, 48.8 deg, rel. 140; d = 1.681 Å, 54.6 deg, rel. 215; d = 1.600 Å, 57.6 deg, rel. 331; d = 1.431 Å, 65.2 deg, rel. 144

Structural model:
```
Ca2TcNiO6
1.0
5.458 0.000 0.000
0.000 5.458 0.000
0.000 0.000 4.269
Ca Tc Ni O
2 1 1 6
Direct
0.000 0.500 0.000
0.500 0.000 0.000
0.000 0.000 0.549
0.500 0.500 0.608
0.000 0.000 0.135
0.237 0.237 0.664
0.237 0.763 0.664
0.500 0.500 0.131
0.763 0.237 0.664
0.763 0.763 0.664
```